# Sr2Mg2In3
Theoretical X-ray powder pattern, Cu Kα (weighted mean of Kα1 and Kα2). Input: the GGA-PBE geometry in Alexandria.
Peak positions follow from Bragg's law for the DFT cell and can differ from measured ones.

Unit cell a=4.829 b=21.406 c=8.233 alpha=90.00 beta=90.00 gamma=90.00
Space group Cmcm (No. 63)
One atom of each set of equivalent atoms:
Sr 0.000 0.057 0.250 (multiplicity 4)
Sr 0.000 0.155 0.750 (multiplicity 4)
Mg 0.000 0.309 0.559 (multiplicity 8)
In 0.000 0.226 0.250 (multiplicity 4)
In 0.000 0.439 0.072 (multiplicity 8)

The 10 most intense peaks (10 to 80 degrees two-theta), sorted by position:
(1 3 0), 2θ = 22.2°, I = 17
(0 2 2), 2θ = 23.1°, I = 17
(1 1 2), 2θ = 28.8°, I = 75
(1 5 1), 2θ = 29.9°, I = 100
(0 4 3), 2θ = 36.8°, I = 28
(2 0 0), 2θ = 37.2°, I = 36
(1 3 3), 2θ = 39.8°, I = 27
(1 7 2), 2θ = 41.3°, I = 19
(0 6 3), 2θ = 41.5°, I = 18
(2 4 3), 2θ = 53.4°, I = 19